# Pa3ReTc2
Theoretical powder X-ray diffraction pattern, a wavelength of 1.5418 Å. Input: a PBE-relaxed structure.
Peak positions follow from Bragg's law for the DFT cell and can differ from measured ones.

Cell and atoms:
Unit cell a=3.9045 b=16.6240 c=3.8312 alpha=90.00 beta=90.00 gamma=90.00
Space group Pmmn (No. 59, origin choice 2)
Unique sites:
Pa (0.2500, 0.0750, 0.2505) x4
Pa (0.2500, 0.7500, 0.7458) x2
Re (0.2500, 0.2500, 0.7545) x2
Tc (0.2500, 0.6039, 0.2491) x4

Peak list (12 most intense, 2θ from 10° to 90°, in order of falling intensity)
h k l  2θ/deg  Rel. int.
1 2 1  34.53  100
1 4 1  39.45  69
0 6 0  32.31  54
2 0 0  46.52  23
1 8 1  55.54  23
0 0 2  47.46  22
2 6 0  57.77  21
0 6 2  58.59  20
2 6 2  77.92  18
2 0 2  68.64  15
1 3 0  27.95  14
0 5 1  35.76  13

=====

# Rb5Na4Ge2
Theoretical powder X-ray diffraction pattern, a wavelength of 1.5418 Å. Input: a PBE-relaxed structure.
Peak positions follow from Bragg's law for the DFT cell and can differ from measured ones.

Cell and atoms:
Unit cell a=4.8425 b=10.7925 c=22.8902 alpha=90.00 beta=90.00 gamma=90.00
Space group Immm (No. 71)
Unique sites:
Rb (0.0000, 0.0000, 0.0000) x2
Rb (0.0000, 0.2810, 0.3442) x8
Na (0.0000, 0.1446, 0.5000) x4
Na (0.0000, 0.5000, 0.1842) x4
Ge (0.0000, 0.5000, 0.0529) x4

Peak list (12 most intense, 2θ from 10° to 90°, in order of falling intensity)
h k l  2θ/deg  Rel. int.
1 2 1  25.01  100
1 0 3  21.74  59
0 2 2  18.18  42
0 2 4  22.65  36
2 0 0  37.13  32
0 3 3  27.39  29
0 0 6  23.32  27
0 3 9  43.57  27
1 4 3  40.04  25
2 4 0  50.67  18
1 0 7  33.05  16
1 1 8  37.45  15

=====

# K6As2Pd
Theoretical powder X-ray diffraction pattern, a wavelength of 1.5418 Å. Input: a PBE-relaxed structure.
Peak positions follow from Bragg's law for the DFT cell and can differ from measured ones.

Cell and atoms:
Unit cell a=5.7835 b=5.7835 c=30.9936 alpha=90.00 beta=90.00 gamma=120.00
Space group R-3m (No. 166, hexagonal axes)
Unique sites:
K (0.0000, 0.0000, 0.0826) x6
K (0.0000, 0.0000, 0.1983) x6
K (0.0000, 0.0000, 0.3100) x6
As (0.0000, 0.0000, 0.4176) x6
Pd (0.0000, 0.0000, 0.5000) x3

Peak list (12 most intense, 2θ from 10° to 90°, in order of falling intensity)
h k l  2θ/deg  Rel. int.
1 1 0  30.92  100
1 0 1  17.94  45
1 0 10  34.02  39
3 0 0  55.00  18
1 1 12  47.18  17
2 1 10  57.00  16
0 2 10  46.63  15
0 1 2  18.62  14
0 1 8  29.14  13
2 2 0  64.44  11
0 1 11  36.59  10
4 1 0  89.71  8